Entry 1:
Starting from a crystal structure in Alexandria, relaxed with GGA-PBE, the X-ray powder pattern of PaPdN was computed for a wavelength of 1.5418 Å.
Neutral-atom scattering factors, no anomalous dispersion.

Largest 10 diffraction maxima, sorted by position, 2θ from 5° to 70°:
d [Å]  I_rel  (hkl)
4.974  38  0 0 2
3.129  100  1 0 1
2.487  30  0 0 4
2.338  90  1 0 3
2.331  60  1 1 0
1.701  44  1 1 4
1.648  21  2 0 0
1.458  22  2 1 1
1.374  18  2 0 4
1.347  33  2 1 3

Atomic structure:
```
data_PaPdN
_chemical_formula_sum 'Pa2 Pd2 N2'
_space_group_name_H-M_alt 'I 4 m m'
_space_group_IT_number 107
_space_group_name_Hall 'I 4 -2'
_cell_length_a 3.2969
_cell_length_b 3.2969
_cell_length_c 9.9474
_cell_angle_alpha 90.00
_cell_angle_beta 90.00
_cell_angle_gamma 90.00
loop_
_atom_site_label
_atom_site_fract_x
_atom_site_fract_y
_atom_site_fract_z
_atom_site_occupancy
Pa1 0.0000 0.0000 0.0000 1
Pd1 0.0000 0.0000 0.2884 1
N1 0.0000 0.0000 0.5206 1
```

=====

Entry 2:
Starting from a crystal structure in Alexandria, relaxed with GGA-PBE, the X-ray powder pattern of Sm2PaPdN4 was computed for a wavelength of 1.5418 Å.
Neutral-atom scattering factors, no anomalous dispersion.

Largest 10 diffraction maxima, sorted by position, 2θ from 5° to 70°:
d [Å]  I_rel  (hkl)
2.892  100  1 1 -1
2.815  47  0 0 2
2.775  45  2 0 0
2.636  54  2 0 -2
2.386  82  1 1 1
1.779  33  1 1 -3
1.759  32  3 1 -1
1.729  15  0 2 0
1.567  18  3 1 -3
1.446  16  2 2 -2

Atomic structure:
```
data_Sm2PaPdN4
_chemical_formula_sum 'Sm2 Pa1 Pd1 N4'
_space_group_name_H-M_alt 'P 1 2/m 1'
_space_group_IT_number 10
_cell_length_a 6.1730
_cell_length_b 3.4585
_cell_length_c 6.2633
_cell_angle_alpha 90.00
_cell_angle_beta 115.98
_cell_angle_gamma 90.00
loop_
_space_group_symop_operation_xyz
'x,y,z'
'-x,-y,-z'
'-x,y,-z'
'x,-y,z'
loop_
_atom_site_label
_atom_site_fract_x
_atom_site_fract_y
_atom_site_fract_z
_atom_site_occupancy
Sm1 0.0000 0.0000 0.0000 1
Sm2 0.5000 0.5000 0.0000 1
Pa1 0.0000 0.5000 0.5000 1
Pd1 0.5000 0.0000 0.5000 1
N1 0.2008 0.0000 0.7539 1
N2 0.2532 0.5000 0.2803 1
```

=====

Entry 3:
Starting from a crystal structure in Alexandria, relaxed with GGA-PBE, the X-ray powder pattern of Pa2TaPdN5 was computed for a wavelength of 1.5418 Å.
Neutral-atom scattering factors, no anomalous dispersion.

Largest 10 diffraction maxima, sorted by position, 2θ from 5° to 70°:
d [Å]  I_rel  (hkl)
3.208  27  1 1 0
3.123  32  0 4 1
3.106  100  0 2 3
2.781  38  0 4 2
2.744  47  1 1 2
2.636  54  1 3 0
2.558  41  1 3 1
2.374  80  1 1 3
2.015  35  0 2 5
1.461  30  2 2 3

Atomic structure:
```
data_Pa2TaPdN5
_chemical_formula_sum 'Pa8 Ta4 Pd4 N20'
_space_group_name_H-M_alt 'C m c 21'
_space_group_IT_number 36
_cell_length_a 3.3095
_cell_length_b 13.0725
_cell_length_c 10.5920
_cell_angle_alpha 90.00
_cell_angle_beta 90.00
_cell_angle_gamma 90.00
loop_
_space_group_symop_operation_xyz
'x,y,z'
'-x,-y,z+1/2'
'-x,y,z'
'x,-y,z+1/2'
'x+1/2,y+1/2,z'
'-x+1/2,-y+1/2,z+1/2'
'-x+1/2,y+1/2,z'
'x+1/2,-y+1/2,z+1/2'
loop_
_atom_site_label
_atom_site_fract_x
_atom_site_fract_y
_atom_site_fract_z
_atom_site_occupancy
Pa1 0.0000 0.0952 0.0000 1
Pa2 0.0000 0.1431 0.6333 1
Ta1 0.0000 0.2046 0.3464 1
Pd1 0.0000 0.4686 0.7834 1
N1 0.0000 0.0633 0.4231 1
N2 0.0000 0.2720 0.9904 1
N3 0.0000 0.3030 0.7143 1
N4 0.0000 0.3644 0.3332 1
N5 0.0000 0.4875 0.0945 1
```

=====

Entry 4:
Starting from a crystal structure in Alexandria, relaxed with GGA-PBE, the X-ray powder pattern of Pa2Te2PdN2 was computed for a wavelength of 1.5418 Å.
Neutral-atom scattering factors, no anomalous dispersion.

Largest 10 diffraction maxima, sorted by position, 2θ from 5° to 70°:
d [Å]  I_rel  (hkl)
12.623  77  0 0 1
6.311  25  0 0 2
3.238  63  0 1 1
2.959  41  1 0 2
2.621  100  0 1 3
2.297  27  0 1 4
2.104  16  0 0 6
1.934  41  1 1 0
1.556  20  2 0 3
1.424  28  1 1 6

Atomic structure:
```
data_Pa2Te2PdN2
_chemical_formula_sum 'Pa2 Te2 Pd1 N2'
_space_group_name_H-M_alt 'P -3 m 1'
_space_group_IT_number 164
_space_group_name_Hall '-P 3 2"'
_cell_length_a 3.8686
_cell_length_b 3.8686
_cell_length_c 12.6227
_cell_angle_alpha 90.00
_cell_angle_beta 90.00
_cell_angle_gamma 120.00
loop_
_atom_site_label
_atom_site_fract_x
_atom_site_fract_y
_atom_site_fract_z
_atom_site_occupancy
Pa1 0.3333 0.6667 0.3276 1
Te1 0.0000 0.0000 0.1617 1
Pd1 0.0000 0.0000 0.5000 1
N1 0.3333 0.6667 0.6241 1
```